Starting from a structure optimized by DFT (PBE+U), the powder X-ray diffraction pattern of Li6MnFe2O6 was calculated for Cu Kα, 1.54184 Å.

Structural model:
Cell lengths 3.286, 8.181, 11.012 Å; angles 72.65, 82.39, 79.10 degrees
Fractional coordinates of all 30 atoms:
Li (0.002, 0.325, 0.180)
Li (0.158, 0.495, 0.683)
Li (0.190, 0.836, 0.317)
Li (0.325, 0.009, 0.818)
Li (0.333, 0.659, 0.181)
Li (0.488, 0.828, 0.683)
Li (0.512, 0.172, 0.317)
Li (0.667, 0.341, 0.819)
Li (0.675, 0.991, 0.182)
Li (0.810, 0.164, 0.683)
Li (0.842, 0.505, 0.317)
Li (0.998, 0.675, 0.820)
Mn (0.000, 0.000, 0.500)
Mn (0.500, 0.500, 0.000)
Fe (0.166, 0.167, 0.003)
Fe (0.331, 0.332, 0.499)
Fe (0.669, 0.668, 0.501)
Fe (0.834, 0.833, 0.997)
O (0.058, 0.746, 0.623)
O (0.097, 0.423, 0.883)
O (0.240, 0.910, 0.122)
O (0.278, 0.585, 0.377)
O (0.369, 0.081, 0.621)
O (0.431, 0.758, 0.877)
O (0.569, 0.242, 0.123)
O (0.631, 0.919, 0.379)
O (0.722, 0.415, 0.623)
O (0.760, 0.090, 0.878)
O (0.903, 0.577, 0.117)
O (0.942, 0.254, 0.377)

The 10 most intense peaks (15 to 90 degrees two-theta), most intense first:
hkl, two_theta, d_spacing, Rel. int.
0 0 2, 16.93, 5.238, 100
-1 1 2, 35.74, 2.512, 38
1 2 3, 36.42, 2.467, 35
0 3 -1, 38.33, 2.348, 28
-1 1 4, 46.62, 1.948, 16
1 2 5, 47.48, 1.915, 16
0 3 -3, 49.59, 1.838, 15
1 2 -1, 36.68, 2.450, 14
1 5 2, 59.21, 1.561, 14
-1 4 1, 58.61, 1.575, 13